For ErScIr, a cell relaxed with PBE gives the calculated XRD peak list in this record (Cu Kα (λ = 1.5418 Å)).
Lines closer than 0.1° are merged.

```
ErScIr
1.0
-1.6346 1.6346 6.2298
1.6346 -1.6346 6.2298
1.6346 1.6346 -6.2298
Er Sc Ir
1 1 1
direct
0.0000 0.0000 0.0000
0.2676 0.2676 0.0000
0.6441 0.6441 0.0000
```

Peak list (10 most intense, 2θ from 10° to 90°, sorted by position)
2θ/deg  I/Imax
14.22  55
28.22  16
34.93  100
38.96  43
41.67  16
45.78  28
56.28  15
59.87  15
67.97  29
75.37  13


For Er4ScIr5, a cell relaxed with PBE gives the calculated XRD peak list in this record (Cu Kα (λ = 1.5418 Å)).
Lines closer than 0.1° are merged.

```
Er4ScIr5
1.0
3.2828 0.0000 0.0000
0.0000 3.2828 0.0000
0.0000 0.0000 17.6054
Er Sc Ir
4 1 5
direct
0.0000 0.0000 0.1018
0.0000 0.0000 0.3053
0.0000 0.0000 0.6947
0.0000 0.0000 0.8982
0.0000 0.0000 0.5000
0.5000 0.5000 0.0000
0.5000 0.5000 0.2040
0.5000 0.5000 0.4089
0.5000 0.5000 0.5911
0.5000 0.5000 0.7960
```

Peak list (10 most intense, 2θ from 10° to 90°, sorted by position)
2θ/deg  I/Imax
34.07  3
37.46  100
38.79  47
51.94  9
56.03  16
66.68  17
69.35  33
79.90  10
83.25  5
88.46  7


> Which formula does entry 1 have?

ErScIr